# 1
Theoretical X-ray diffraction stick pattern
Compound: SrSe2O5
Radiation: λ = 1.5418 Å (Cu Kα)
Structure: the GGA-PBE geometry in Alexandria

Main lines, in order of rising 2θ (2θ = 10–80°):
- 2θ 21.18, intensity 19.2
- 2θ 25.50, intensity 18.8
- 2θ 26.00, intensity 26.0
- 2θ 26.66, intensity 100.0
- 2θ 28.18, intensity 17.2
- 2θ 28.35, intensity 47.6
- 2θ 28.97, intensity 73.5
- 2θ 30.53, intensity 57.0
- 2θ 33.21, intensity 21.3
- 2θ 50.35, intensity 16.9

Structure:
a = 7.049 Å, b = 7.113 Å, c = 11.188 Å
α = 84.70°, β = 80.80°, γ = 79.81°
Fractional coordinates of all 32 atoms:
Sr 0.190 0.109 0.258
Sr 0.305 0.144 0.608
Sr 0.695 0.856 0.392
Sr 0.810 0.891 0.742
Se 0.090 0.665 0.125
Se 0.194 0.663 0.458
Se 0.366 0.227 0.931
Se 0.373 0.669 0.711
Se 0.627 0.331 0.289
Se 0.634 0.773 0.069
Se 0.806 0.337 0.542
Se 0.910 0.335 0.875
O 0.037 0.271 0.473
O 0.045 0.786 0.254
O 0.156 0.400 0.875
O 0.177 0.844 0.729
O 0.205 0.447 0.165
O 0.254 0.068 0.024
O 0.294 0.867 0.442
O 0.311 0.530 0.595
O 0.454 0.209 0.370
O 0.459 0.121 0.800
O 0.541 0.879 0.200
O 0.546 0.791 0.630
O 0.689 0.470 0.405
O 0.706 0.133 0.558
O 0.746 0.932 0.976
O 0.795 0.553 0.835
O 0.823 0.156 0.271
O 0.844 0.600 0.125
O 0.955 0.214 0.746
O 0.963 0.729 0.527


# 2
Theoretical X-ray diffraction stick pattern
Compound: Sr2SeO4
Radiation: λ = 1.5418 Å (Cu Kα)
Structure: the GGA-PBE geometry in Alexandria

Main lines, in order of rising 2θ (2θ = 10–80°):
- 2θ 11.33, intensity 72.9
- 2θ 13.68, intensity 38.0
- 2θ 23.78, intensity 32.2
- 2θ 28.27, intensity 79.8
- 2θ 30.87, intensity 40.4
- 2θ 33.45, intensity 100.0
- 2θ 42.48, intensity 23.2
- 2θ 46.15, intensity 31.1
- 2θ 49.94, intensity 22.0
- 2θ 59.79, intensity 16.4

Structure:
a = 6.502 Å, b = 5.358 Å, c = 7.846 Å
α = 90.00°, β = 95.33°, γ = 90.00°
Fractional coordinates of all 14 atoms:
Sr 0.056 0.250 0.351
Sr 0.346 0.250 0.868
Sr 0.654 0.750 0.132
Sr 0.944 0.750 0.649
Se 0.152 0.750 0.088
Se 0.848 0.250 0.912
O 0.058 0.250 0.654
O 0.247 0.750 0.880
O 0.298 0.501 0.168
O 0.298 0.999 0.168
O 0.702 0.001 0.832
O 0.702 0.499 0.832
O 0.753 0.250 0.120
O 0.942 0.750 0.346


# 3
Theoretical X-ray diffraction stick pattern
Compound: Sr3Se2O8
Radiation: λ = 1.5418 Å (Cu Kα)
Structure: the GGA-PBE geometry in Alexandria

Main lines, in order of rising 2θ (2θ = 10–80°):
- 2θ 29.24, intensity 61.3
- 2θ 30.07, intensity 100.0
- 2θ 39.85, intensity 11.4
- 2θ 42.44, intensity 34.0
- 2θ 42.89, intensity 12.9
- 2θ 52.89, intensity 25.5
- 2θ 53.27, intensity 22.5
- 2θ 53.41, intensity 19.3
- 2θ 62.52, intensity 18.5
- 2θ 78.81, intensity 11.1

Structure:
a = 7.196 Å, b = 7.196 Å, c = 7.196 Å
α = 48.77°, β = 48.77°, γ = 48.77°
Fractional coordinates of all 13 atoms:
Sr 0.000 0.000 0.000
Sr 0.210 0.210 0.210
Sr 0.790 0.790 0.790
Se 0.428 0.428 0.428
Se 0.572 0.572 0.572
O 0.217 0.738 0.738
O 0.262 0.262 0.783
O 0.262 0.783 0.262
O 0.337 0.337 0.337
O 0.663 0.663 0.663
O 0.738 0.217 0.738
O 0.738 0.738 0.217
O 0.783 0.262 0.262


# 4
Theoretical X-ray diffraction stick pattern
Compound: Sr5Se4O
Radiation: λ = 1.5418 Å (Cu Kα)
Structure: the GGA-PBE geometry in Alexandria

Main lines, in order of rising 2θ (2θ = 10–80°):
- 2θ 25.15, intensity 10.4
- 2θ 28.49, intensity 51.7
- 2θ 29.43, intensity 100.0
- 2θ 41.42, intensity 75.5
- 2θ 42.10, intensity 32.8
- 2θ 51.62, intensity 33.1
- 2θ 67.26, intensity 15.5
- 2θ 68.73, intensity 12.1
- 2θ 69.22, intensity 13.1
- 2θ 76.48, intensity 16.5

Structure:
a = 7.475 Å, b = 7.475 Å, c = 7.475 Å
α = 100.12°, β = 100.12°, γ = 130.45°
Fractional coordinates of all 10 atoms:
Sr 0.000 0.000 0.000
Sr 0.288 0.652 0.816
Sr 0.472 0.288 0.636
Sr 0.652 0.836 0.364
Sr 0.836 0.472 0.184
Se 0.160 0.364 0.394
Se 0.364 0.970 0.205
Se 0.765 0.160 0.795
Se 0.970 0.765 0.606
O 0.613 0.613 0.000


# 5
Theoretical X-ray diffraction stick pattern
Compound: Sr3Se2O
Radiation: λ = 1.5418 Å (Cu Kα)
Structure: the GGA-PBE geometry in Alexandria

Main lines, in order of rising 2θ (2θ = 10–80°):
- 2θ 26.16, intensity 73.9
- 2θ 27.06, intensity 71.9
- 2θ 27.47, intensity 61.8
- 2θ 28.00, intensity 83.9
- 2θ 29.04, intensity 37.5
- 2θ 30.46, intensity 72.4
- 2θ 32.57, intensity 45.8
- 2θ 33.02, intensity 100.0
- 2θ 35.70, intensity 33.0
- 2θ 40.94, intensity 37.4

Structure:
a = 7.574 Å, b = 7.574 Å, c = 14.852 Å
α = 91.95°, β = 91.95°, γ = 126.39°
Fractional coordinates of all 24 atoms:
Sr 0.014 0.986 0.750
Sr 0.130 0.323 0.533
Sr 0.148 0.495 0.131
Sr 0.323 0.130 0.033
Sr 0.401 0.599 0.750
Sr 0.495 0.148 0.631
Sr 0.505 0.852 0.369
Sr 0.599 0.401 0.250
Sr 0.677 0.870 0.967
Sr 0.852 0.505 0.869
Sr 0.870 0.677 0.467
Sr 0.986 0.014 0.250
Se 0.014 0.430 0.345
Se 0.134 0.341 0.926
Se 0.341 0.134 0.426
Se 0.430 0.014 0.845
Se 0.570 0.986 0.155
Se 0.659 0.866 0.574
Se 0.866 0.659 0.074
Se 0.986 0.570 0.655
O 0.273 0.280 0.162
O 0.280 0.273 0.662
O 0.720 0.727 0.338
O 0.727 0.720 0.838


# 6
Theoretical X-ray diffraction stick pattern
Compound: SrTlSeO
Radiation: λ = 1.5418 Å (Cu Kα)
Structure: the GGA-PBE geometry in Alexandria

Main lines, in order of rising 2θ (2θ = 10–80°):
- 2θ 12.75, intensity 26.5
- 2θ 24.58, intensity 22.3
- 2θ 25.65, intensity 15.8
- 2θ 27.78, intensity 100.0
- 2θ 31.36, intensity 29.6
- 2θ 35.83, intensity 38.5
- 2θ 43.28, intensity 42.2
- 2θ 46.56, intensity 31.8
- 2θ 52.21, intensity 18.1
- 2θ 70.07, intensity 15.2

Structure:
a = 4.181 Å, b = 4.181 Å, c = 13.890 Å
α = 90.00°, β = 90.00°, γ = 120.00°
Fractional coordinates of all 8 atoms:
Sr 0.333 0.667 0.000
Sr 0.667 0.333 0.500
Tl 0.000 0.000 0.222
Tl 0.000 0.000 0.722
Se 0.333 0.667 0.338
Se 0.667 0.333 0.838
O 0.000 0.000 0.052
O 0.000 0.000 0.552


# 7
Theoretical X-ray diffraction stick pattern
Compound: SrUSe2O10
Radiation: λ = 1.5418 Å (Cu Kα)
Structure: the GGA-PBE geometry in Alexandria

Main lines, in order of rising 2θ (2θ = 10–80°):
- 2θ 10.78, intensity 57.2
- 2θ 17.03, intensity 100.0
- 2θ 24.16, intensity 23.7
- 2θ 25.06, intensity 45.7
- 2θ 25.20, intensity 20.6
- 2θ 26.29, intensity 35.8
- 2θ 27.83, intensity 17.0
- 2θ 28.65, intensity 21.3
- 2θ 29.41, intensity 22.0
- 2θ 29.77, intensity 21.5

Structure:
a = 7.728 Å, b = 8.568 Å, c = 9.291 Å
α = 106.09°, β = 106.09°, γ = 107.51°
Fractional coordinates of all 28 atoms:
Sr 0.177 0.251 0.035
Sr 0.823 0.749 0.965
U 0.184 0.677 0.444
U 0.816 0.323 0.556
Se 0.260 0.063 0.359
Se 0.305 0.426 0.717
Se 0.695 0.574 0.283
Se 0.740 0.937 0.641
O 0.068 0.562 0.001
O 0.122 0.320 0.773
O 0.125 0.030 0.164
O 0.153 0.854 0.581
O 0.158 0.518 0.613
O 0.207 0.494 0.296
O 0.294 0.866 0.328
O 0.414 0.986 0.962
O 0.472 0.603 0.886
O 0.489 0.216 0.394
O 0.511 0.784 0.606
O 0.528 0.397 0.114
O 0.586 0.014 0.038
O 0.706 0.134 0.672
O 0.793 0.506 0.704
O 0.842 0.482 0.387
O 0.847 0.146 0.419
O 0.875 0.970 0.836
O 0.878 0.680 0.227
O 0.932 0.438 0.999